For Li6MnO4, a crystal structure in Alexandria, relaxed with PBE+U gives the simulated XRD peak list in this record (Cu Kα).
Lines closer than 0.1° are merged.

a = 6.7034 Å, b = 6.7034 Å, c = 4.7204 Å
α = 90.00°, β = 90.00°, γ = 90.00°
Positions (direct):
Li 0.0338 0.5338 0.2500
Li 0.0338 0.9662 0.2500
Li 0.2500 0.2500 0.2143
Li 0.2500 0.2500 0.7143
Li 0.4662 0.5338 0.2500
Li 0.4662 0.9662 0.2500
Li 0.5338 0.0338 0.7500
Li 0.5338 0.4662 0.7500
Li 0.7500 0.7500 0.2857
Li 0.7500 0.7500 0.7857
Li 0.9662 0.0338 0.7500
Li 0.9662 0.4662 0.7500
Mn 0.2500 0.7500 0.7500
Mn 0.7500 0.2500 0.2500
O 0.0163 0.2500 0.4732
O 0.2500 0.0163 0.9732
O 0.2500 0.4837 0.9732
O 0.4837 0.2500 0.4732
O 0.5163 0.7500 0.5268
O 0.7500 0.5163 0.0268
O 0.7500 0.9837 0.0268
O 0.9837 0.7500 0.5268

The 12 most intense peaks (2θ from 15° to 90°), low angle first:
| 2θ/deg | d/Å | I (rel.) | (hkl) |
| --- | --- | --- | --- |
| 18.7 | 4.740 | 39 | 1 1 0 |
| 23.0 | 3.859 | 100 | 1 0 1 |
| 26.6 | 3.352 | 25 | 2 0 0 |
| 32.8 | 2.733 | 53 | 2 0 1 |
| 35.5 | 2.531 | 56 | 2 1 1 |
| 42.7 | 2.120 | 14 | 3 1 0 |
| 42.8 | 2.113 | 16 | 1 1 2 |
| 44.9 | 2.020 | 27 | 3 0 1 |
| 54.8 | 1.676 | 23 | 4 0 0 |
| 54.9 | 1.672 | 47 | 2 2 2 |
| 60.2 | 1.537 | 12 | 4 1 1 |
| 67.2 | 1.393 | 14 | 2 1 3 |